Calculated X-ray diffraction stick pattern of TaCdIr for Cu Kα, 1.54184 Å, from a DFT-relaxed cell (GGA-PBE, Alexandria).
Peak positions follow from Bragg's law for the DFT cell and can differ from measured ones.

Main lines, low angle first (10 to 90 degrees two-theta):
2theta, Rel. int., hkl
15.17, 18.2, 0 0 2
37.50, 100.0, 1 0 3
41.97, 40.2, 1 1 0
60.86, 13.4, 2 0 0
64.53, 15.1, 1 1 6
73.72, 27.6, 2 1 3

Atomic structure:
```
data_TaCdIr
_chemical_formula_sum 'Ta2 Cd2 Ir2'
_cell_length_a 3.0444
_cell_length_b 3.0444
_cell_length_c 11.6828
_cell_angle_alpha 90.00
_cell_angle_beta 90.00
_cell_angle_gamma 90.00
_symmetry_space_group_name_H-M 'P 4/m m m'
_symmetry_Int_Tables_number 123
_symmetry_space_group_name_Hall '-P 4 2'
loop_
_atom_site_label
_atom_site_type_symbol
_atom_site_fract_x
_atom_site_fract_y
_atom_site_fract_z
Ta1 Ta 0.0000 0.0000 0.1914
Cd1 Cd 0.0000 0.0000 0.5000
Cd2 Cd 0.5000 0.5000 0.0000
Ir1 Ir 0.5000 0.5000 0.3230
```

Calculated X-ray diffraction stick pattern of Ag2PdBr4 for Cu Kα, 1.54184 Å, from a DFT-relaxed cell (GGA-PBE, Alexandria).
Peak positions follow from Bragg's law for the DFT cell and can differ from measured ones.

Main lines, low angle first (10 to 90 degrees two-theta):
2theta, Rel. int., hkl
17.01, 31.3, 1 0 1
29.10, 100.0, 1 1 2
34.41, 45.8, 2 0 2
36.39, 71.3, 2 2 0
47.26, 50.4, 3 1 2
52.42, 24.1, 4 0 0

Atomic structure:
```
data_Ag2PdBr4
_chemical_formula_sum 'Ag4 Pd2 Br8'
_cell_length_a 6.9824
_cell_length_b 6.9824
_cell_length_c 7.8330
_cell_angle_alpha 90.00
_cell_angle_beta 90.00
_cell_angle_gamma 90.00
_symmetry_space_group_name_H-M 'I -4 2 m'
_symmetry_Int_Tables_number 121
_symmetry_space_group_name_Hall 'I -4 2'
loop_
_atom_site_label
_atom_site_type_symbol
_atom_site_fract_x
_atom_site_fract_y
_atom_site_fract_z
Ag1 Ag 0.0000 0.5000 0.2500
Pd1 Pd 0.0000 0.0000 0.0000
Br1 Br 0.2449 0.2449 0.0634
```

Calculated X-ray diffraction stick pattern of Zr2CuF11 for Cu Kα, 1.54184 Å, from a DFT-relaxed cell (GGA-PBE, Alexandria).
Peak positions follow from Bragg's law for the DFT cell and can differ from measured ones.

Main lines, low angle first (10 to 90 degrees two-theta):
2theta, Rel. int., hkl
17.58, 44.5, 0 0 2
22.20, 58.5, 2 0 0
22.57, 93.1, 1 1 2
24.78, 100.0, 0 2 2
25.47, 80.8, 2 1 1
28.44, 49.3, 1 3 0

Atomic structure:
```
data_Zr2CuF11
_chemical_formula_sum 'Zr8 Cu4 F44'
_cell_length_a 8.0072
_cell_length_b 10.2364
_cell_length_c 10.0919
_cell_angle_alpha 90.00
_cell_angle_beta 90.00
_cell_angle_gamma 90.00
_symmetry_space_group_name_H-M 'I b a m'
_symmetry_Int_Tables_number 72
_symmetry_space_group_name_Hall '-I 2 2c'
loop_
_atom_site_label
_atom_site_type_symbol
_atom_site_fract_x
_atom_site_fract_y
_atom_site_fract_z
Zr1 Zr 0.0743 0.1968 0.0000
Cu1 Cu 0.0000 0.5000 0.2500
F1 F 0.0000 0.0000 0.0000
F2 F 0.0135 0.3770 0.1253
F3 F 0.1676 0.1354 0.1665
F4 F 0.1870 0.2027 0.5000
```